The following is a simulated X-ray powder pattern of BaMnCo2F8. It was derived from a DFT-relaxed cell (PBE+U, Alexandria), using Cu Kα (weighted mean of Kα1 and Kα2).
Lines closer than 0.1° are merged.

Cell and atoms:
Unit cell a=4.5234 b=5.1528 c=7.9863 alpha=94.97 beta=91.68 gamma=94.47
Fractional coordinates of all 12 atoms:
Ba 0.0000 0.0000 0.0000
Mn 0.0000 0.0000 0.5000
Co 0.4792 0.5346 0.6950
Co 0.5208 0.4654 0.3050
F 0.1347 0.2385 0.3109
F 0.1744 0.2450 0.7235
F 0.3543 0.7224 0.4880
F 0.4438 0.7280 0.9154
F 0.5562 0.2720 0.0846
F 0.6457 0.2776 0.5120
F 0.8256 0.7550 0.2765
F 0.8653 0.7615 0.6891

Most intense lines, 5° ≤ 2θ ≤ 70°, sorted by position:
(0 1 -1), 19.77°, I = 42
(1 -1 0), 25.26°, I = 100
(0 1 -2), 27.15°, I = 56
(1 1 0), 27.41°, I = 65
(0 1 2), 29.66°, I = 39
(2 0 0), 40.02°, I = 31